# Na3SrS4O12
Simulated X-ray powder pattern, λ = 1.5418 Å (Cu Kα). Input: a structure optimized by DFT (GGA-PBE).

Atomic structure:
abc: 6.901 6.901 6.901
angles: 104.66 104.66 104.66
Positions (direct):
1 Na 0.000 0.578 0.422
2 Na 0.422 0.000 0.578
3 Na 0.578 0.422 0.000
4 Sr 0.000 0.000 0.000
5 S 0.092 0.500 0.908
6 S 0.500 0.500 0.500
7 S 0.500 0.908 0.092
8 S 0.908 0.092 0.500
9 O 0.010 0.640 0.774
10 O 0.047 0.953 0.500
11 O 0.226 0.360 0.990
12 O 0.360 0.990 0.226
13 O 0.368 0.632 0.500
14 O 0.500 0.047 0.953
15 O 0.500 0.368 0.632
16 O 0.632 0.500 0.368
17 O 0.640 0.774 0.010
18 O 0.774 0.010 0.640
19 O 0.953 0.500 0.047
20 O 0.990 0.226 0.360

Top 10 peaks for 10° ≤ 2θ ≤ 90°, in order of falling intensity:
2θ/deg  I/Imax
28.42  100
32.90  32
27.10  30
28.30  23
35.85  21
36.05  21
47.13  19
16.23  19
47.36  19
61.18  17